[1]
Starting from the GGA-PBE geometry in Alexandria, the powder diffractogram of La2InBi5 was simulated for Cu Kα (λ = 1.5418 Å).
Kinematic intensities with the Lorentz-polarization factor, no thermal factor.

The 10 most intense peaks (2θ from 5° to 70°), by angle:
- 31.10°, I = 100
- 34.89°, I = 19
- 35.03°, I = 18
- 38.19°, I = 14
- 50.28°, I = 13
- 52.69°, I = 11
- 60.22°, I = 16
- 60.40°, I = 15
- 64.65°, I = 12
- 64.85°, I = 12

Atomic structure:
abc: 9.426 10.245 5.143
angles: 90.00 90.00 90.00
Space group Cmmm (No. 65)
Unique sites:
La 0.000 0.239 0.000 (multiplicity 4)
In 0.000 0.500 0.500 (multiplicity 2)
Bi 0.000 0.000 0.500 (multiplicity 2)
Bi 0.237 0.500 0.000 (multiplicity 4)
Bi 0.250 0.250 0.500 (multiplicity 4)

=====

[2]
Starting from the GGA-PBE geometry in Alexandria, the powder diffractogram of La2In3Bi3 was simulated for Cu Kα (λ = 1.5418 Å).
Kinematic intensities with the Lorentz-polarization factor, no thermal factor.

The 10 most intense peaks (2θ from 5° to 70°), by angle:
- 31.53°, I = 100
- 35.71°, I = 18
- 36.82°, I = 17
- 37.16°, I = 16
- 52.23°, I = 12
- 52.49°, I = 12
- 61.55°, I = 15
- 63.03°, I = 14
- 63.50°, I = 13
- 65.83°, I = 12

Atomic structure:
abc: 4.882 5.029 9.678
angles: 90.00 90.00 90.00
Space group Pmmm (No. 47)
Unique sites:
La 0.000 0.000 0.247 (multiplicity 2)
In 0.000 0.500 0.500 (multiplicity 1)
In 0.500 0.500 0.262 (multiplicity 2)
Bi 0.000 0.500 0.000 (multiplicity 1)
Bi 0.500 0.000 0.000 (multiplicity 1)
Bi 0.500 0.000 0.500 (multiplicity 1)

=====

[3]
Starting from the GGA-PBE geometry in Alexandria, the powder diffractogram of La2InBi4 was simulated for Cu Kα (λ = 1.5418 Å).
Kinematic intensities with the Lorentz-polarization factor, no thermal factor.

The 10 most intense peaks (2θ from 5° to 70°), by angle:
- 18.77°, I = 11
- 25.22°, I = 11
- 31.62°, I = 100
- 35.84°, I = 18
- 36.09°, I = 18
- 38.07°, I = 15
- 51.77°, I = 13
- 53.30°, I = 18
- 61.78°, I = 15
- 62.02°, I = 7

Atomic structure:
abc: 9.454 10.023 6.849
angles: 90.00 133.38 90.00
Space group C2/m (No. 12)
Unique sites:
La 0.250 0.250 0.000 (multiplicity 4)
In 0.000 0.000 0.500 (multiplicity 2)
Bi 0.000 0.000 0.000 (multiplicity 2)
Bi 0.000 0.500 0.000 (multiplicity 2)
Bi 0.250 0.250 0.500 (multiplicity 4)